Structure and theoretical powder XRD pattern of InBRh3 (a structure optimized by DFT (PBE); Cu Kα, 1.54184 Å).
Lines closer than 0.1° are merged.

Most intense lines, 10° ≤ 2θ ≤ 90°, in order of falling intensity:
2theta	I (rel.)	index
37.5	100	1 1 1
42.8	19	0 2 -1
43.5	18	2 0 -1
44.4	16	0 0 4
63.4	10	0 2 3
77.2	9	1 1 -7
74.9	6	1 -3 3
75.0	6	1 3 0

Atomic structure:
```
InBRh3
1.0
4.160 0.000 0.000
-0.011 4.223 0.000
-2.067 -2.111 8.160
In B Rh
2 2 6
Direct
0.072 0.322 0.143
0.928 0.678 0.857
0.322 0.072 0.644
0.678 0.928 0.356
0.191 0.941 0.383
0.317 0.566 0.633
0.446 0.196 0.892
0.554 0.804 0.108
0.683 0.434 0.367
0.809 0.059 0.617
```